Structure and computed powder X-ray diffraction pattern of KCaNi2H3Se2O10 (DFT lattice parameters and positions (GGA+U); Cu Kα X-rays).
Intensities are scaled so that the largest is 100.

Cell and atoms:
```
data_KCaNi2H3Se2O10
_chemical_formula_sum 'K1 Ca1 Ni2 H3 Se2 O10'
_space_group_name_H-M_alt 'P 1'
_space_group_IT_number 1
_cell_length_a 5.439
_cell_length_b 5.552
_cell_length_c 10.177
_cell_angle_alpha 85.42
_cell_angle_beta 81.39
_cell_angle_gamma 66.88
loop_
_space_group_symop_operation_xyz
'x,y,z'
loop_
_atom_site_label
_atom_site_fract_x
_atom_site_fract_y
_atom_site_fract_z
K1 0.000 0.000 0.000
Ca1 0.601 0.640 0.586
Ni1 0.104 0.590 0.397
Ni2 0.554 0.132 0.399
H1 0.116 0.155 0.310
H2 0.787 0.103 0.668
H3 0.982 0.023 0.486
Se1 0.374 0.359 0.809
Se2 0.614 0.598 0.210
O1 0.164 0.205 0.390
O2 0.273 0.727 0.230
O3 0.323 0.684 0.786
O4 0.398 0.448 0.502
O5 0.408 0.278 0.968
O6 0.713 0.732 0.331
O7 0.734 0.269 0.236
O8 0.739 0.664 0.062
O9 0.748 0.250 0.729
O10 0.864 0.921 0.510
```

Main lines, in order of rising 2θ (10 to 80 degrees two-theta):
Position (°2θ)	I_rel
17.4	29
17.6	27
17.9	32
22.6	27
23.5	51
24.5	100
28.2	31
36.2	23